Diffraction record for Ac4DyZn3O12. The X-ray powder pattern is computed, not measured: it uses DFT lattice parameters and positions (PBE) and Cu Kα, 1.54184 Å.
Kinematic intensities with the Lorentz-polarization factor, no thermal factor.

Cell and atoms:
```
Ac4DyZn3O12
1.0
-4.084 4.084 4.084
4.084 -4.084 4.084
4.084 4.084 -4.084
Ac Dy Zn O
4 1 3 12
Direct
0.000 0.000 0.500
0.000 0.500 0.000
0.500 0.000 0.000
0.500 0.500 0.500
0.000 0.000 0.000
0.000 0.500 0.500
0.500 0.000 0.500
0.500 0.500 0.000
0.000 0.262 0.262
0.000 0.738 0.738
0.250 0.500 0.750
0.250 0.750 0.500
0.262 0.000 0.262
0.262 0.262 0.000
0.500 0.250 0.750
0.500 0.750 0.250
0.738 0.000 0.738
0.738 0.738 0.000
0.750 0.250 0.500
0.750 0.500 0.250
```

Largest 10 diffraction maxima, sorted by position, 10° ≤ 2θ ≤ 90°:
- 21.76°, d 4.084, intensity 15.2
- 30.96°, d 2.888, intensity 100.0
- 38.16°, d 2.358, intensity 13.4
- 44.36°, d 2.042, intensity 27.7
- 49.93°, d 1.827, intensity 8.1
- 55.07°, d 1.667, intensity 41.0
- 64.53°, d 1.444, intensity 17.5
- 73.29°, d 1.292, intensity 17.9
- 81.66°, d 1.179, intensity 5.9
- 89.86°, d 1.092, intensity 22.4

=====

Diffraction record for Ba4LiRh4O12. The X-ray powder pattern is computed, not measured: it uses DFT lattice parameters and positions (PBE) and Cu Kα, 1.54184 Å.
Kinematic intensities with the Lorentz-polarization factor, no thermal factor.

Cell and atoms:
```
Ba4LiRh4O12
1.0
5.139 -2.895 0.000
5.139 2.895 0.000
-0.498 0.000 9.994
Ba Li Rh O
4 1 4 12
Direct
0.000 0.000 0.000
0.055 0.055 0.462
0.361 0.361 0.246
0.745 0.745 0.694
0.560 0.560 0.864
0.325 0.325 0.869
0.385 0.385 0.598
0.672 0.672 0.092
0.712 0.712 0.366
0.069 0.588 0.468
0.218 0.218 0.691
0.224 0.653 0.758
0.394 0.848 0.239
0.470 0.470 0.023
0.474 0.945 0.942
0.567 0.567 0.502
0.588 0.069 0.468
0.653 0.224 0.758
0.837 0.837 0.210
0.848 0.394 0.239
0.945 0.474 0.942
```

Largest 10 diffraction maxima, sorted by position, 10° ≤ 2θ ≤ 90°:
- 24.23°, d 3.673, intensity 19.1
- 25.43°, d 3.503, intensity 57.0
- 30.34°, d 2.946, intensity 100.0
- 30.89°, d 2.895, intensity 65.4
- 31.28°, d 2.859, intensity 31.0
- 31.83°, d 2.811, intensity 46.6
- 32.57°, d 2.749, intensity 26.6
- 39.64°, d 2.274, intensity 20.6
- 40.46°, d 2.229, intensity 20.2
- 45.66°, d 1.987, intensity 28.8